The following is a theoretical powder XRD pattern of Li6Co6O5F11. It was derived from a PBE+U-relaxed structure, using Cu Kα (weighted mean of Kα1 and Kα2).
No peak broadening, texture or thermal motion is included.

Most intense lines, 2θ = 10–80°, in order of falling intensity:
2θ/deg  I_rel  h k l
18.2  100  0 0 2
20.1  53  1 1 -1
40.7  50  0 2 -2
43.0  49  2 2 3
17.2  44  1 1 0
43.7  44  2 0 -3
35.3  25  2 0 -1
19.5  22  1 0 1
17.0  20  1 0 0
33.2  16  -1 1 2

Structure:
```
data_Li6Co6O5F11
_chemical_formula_sum 'Li6 Co6 O5 F11'
_space_group_name_H-M_alt 'P 1'
_space_group_IT_number 1
_cell_length_a 5.953
_cell_length_b 6.050
_cell_length_c 9.839
_cell_angle_alpha 83.44
_cell_angle_beta 88.53
_cell_angle_gamma 61.33
loop_
_space_group_symop_operation_xyz
'x,y,z'
loop_
_atom_site_label
_atom_site_type_symbol
_atom_site_fract_x
_atom_site_fract_y
_atom_site_fract_z
Li1 Li 0.000 0.000 0.000
Li2 Li 0.014 0.917 0.368
Li3 Li 0.327 0.341 0.870
Li4 Li 0.379 0.232 0.441
Li5 Li 0.472 0.609 0.455
Li6 Li 0.805 0.922 0.667
Co1 Co 0.032 0.462 0.190
Co2 Co 0.306 0.911 0.688
Co3 Co 0.469 0.475 0.180
Co4 Co 0.519 0.961 0.163
Co5 Co 0.642 0.727 0.931
Co6 Co 0.814 0.398 0.682
O1 O 0.234 0.567 0.312
O2 O 0.346 0.303 0.073
O3 O 0.366 0.801 0.064
O4 O 0.506 0.997 0.807
O5 O 0.824 0.802 0.071
F1 F 0.134 0.805 0.557
F2 F 0.135 0.261 0.576
F3 F 0.223 0.085 0.303
F4 F 0.500 0.541 0.807
F5 F 0.627 0.758 0.568
F6 F 0.640 0.279 0.562
F7 F 0.671 0.101 0.299
F8 F 0.685 0.596 0.296
F9 F 0.815 0.345 0.070
F10 F 0.961 0.533 0.810
F11 F 0.975 0.045 0.799
```